(1)
Ac2Mo3O10: theoretical powder diffractogram (Cu Kα), based on a structure optimized by DFT (PBE+U).
Kinematic intensities with the Lorentz-polarization factor, no thermal factor.

Peak list (10 most intense, 2θ = 10–80°, low angle first)
2θ 21.42, intensity 16; 2θ 27.67, intensity 100; 2θ 27.87, intensity 47; 2θ 28.62, intensity 43; 2θ 29.68, intensity 24; 2θ 41.70, intensity 28; 2θ 43.83, intensity 17; 2θ 51.44, intensity 20; 2θ 53.17, intensity 20; 2θ 56.23, intensity 21

Crystal structure
abc: 18.7134 6.0202 7.8000
angles: 90.00 113.10 90.00
Space group C2/m (No. 12)
Inequivalent atoms, fractional coordinates:
Ac 0.1076 0.0000 0.2328 x4
Ac 0.2045 0.0000 0.8177 x4
Mo 0.0000 0.2442 0.5000 x4
Mo 0.0815 0.5000 0.9737 x4
Mo 0.1814 0.5000 0.5277 x4
O 0.0000 0.2770 0.0000 x4
O 0.0229 0.0000 0.6954 x4
O 0.0279 0.5000 0.6962 x4
O 0.1138 0.2326 0.5307 x8
O 0.1275 0.5000 0.2563 x4
O 0.1532 0.2654 0.9938 x8
O 0.2298 0.5000 0.7825 x4
O 0.2500 0.2500 0.5000 x4

(2)
AcPr2MoO8: theoretical powder diffractogram (Cu Kα), based on a structure optimized by DFT (PBE+U).
Kinematic intensities with the Lorentz-polarization factor, no thermal factor.

Peak list (10 most intense, 2θ = 10–80°, low angle first)
2θ 20.86, intensity 10; 2θ 23.98, intensity 100; 2θ 29.86, intensity 93; 2θ 34.17, intensity 27; 2θ 46.00, intensity 71; 2θ 55.41, intensity 9; 2θ 56.26, intensity 18; 2θ 58.53, intensity 20; 2θ 62.02, intensity 11; 2θ 77.87, intensity 13

Crystal structure
abc: 7.4112 7.4326 7.2859
angles: 90.00 90.00 90.00
Space group Cmmm (No. 65)
Inequivalent atoms, fractional coordinates:
Ac 0.0000 0.0000 0.0000 x2
Pr 0.0000 0.5000 0.2611 x4
Mo 0.0000 0.0000 0.5000 x2
O 0.0000 0.1791 0.3029 x8
O 0.1825 0.5000 0.0000 x4
O 0.2360 0.5000 0.5000 x4

(3)
RbAcMo2O7: theoretical powder diffractogram (Cu Kα), based on a structure optimized by DFT (PBE+U).
Kinematic intensities with the Lorentz-polarization factor, no thermal factor.

Peak list (10 most intense, 2θ = 10–80°, low angle first)
2θ 27.61, intensity 100; 2θ 31.49, intensity 41; 2θ 33.29, intensity 18; 2θ 35.66, intensity 9; 2θ 40.05, intensity 12; 2θ 45.13, intensity 23; 2θ 46.22, intensity 18; 2θ 53.03, intensity 8; 2θ 53.72, intensity 32; 2θ 57.22, intensity 8

Crystal structure
abc: 4.0181 4.0181 10.8728
angles: 90.00 90.00 90.00
Space group P4/mmm (No. 123)
Inequivalent atoms, fractional coordinates:
Rb 0.0000 0.0000 0.0000 x1
Ac 0.0000 0.0000 0.5000 x1
Mo 0.5000 0.5000 0.2984 x2
O 0.0000 0.5000 0.3327 x4
O 0.5000 0.5000 0.1359 x2
O 0.5000 0.5000 0.5000 x1

(4)
Ac2ReMoO8: theoretical powder diffractogram (Cu Kα), based on a structure optimized by DFT (PBE+U).
Kinematic intensities with the Lorentz-polarization factor, no thermal factor.

Peak list (10 most intense, 2θ = 10–80°, low angle first)
2θ 19.09, intensity 61; 2θ 20.58, intensity 81; 2θ 21.32, intensity 49; 2θ 26.25, intensity 63; 2θ 26.75, intensity 100; 2θ 31.24, intensity 67; 2θ 31.48, intensity 78; 2θ 32.25, intensity 46; 2θ 34.89, intensity 51; 2θ 52.48, intensity 51

Crystal structure
abc: 5.7191 5.8998 6.3597
angles: 79.98 80.11 70.05
Space group P-1 (No. 2)
Inequivalent atoms, fractional coordinates:
Ac 0.1690 0.0805 0.2174 x2
Re 0.5000 0.5000 0.0000 x1
Mo 0.5000 0.5000 0.5000 x1
O 0.1686 0.7609 0.5117 x2
O 0.1827 0.7351 0.0060 x2
O 0.3981 0.3372 0.2842 x2
O 0.4102 0.3038 0.8209 x2

(5)
AcMo2RhO8: theoretical powder diffractogram (Cu Kα), based on a structure optimized by DFT (PBE+U).
Kinematic intensities with the Lorentz-polarization factor, no thermal factor.

Peak list (10 most intense, 2θ = 10–80°, low angle first)
2θ 24.95, intensity 100; 2θ 26.23, intensity 82; 2θ 32.10, intensity 81; 2θ 33.16, intensity 76; 2θ 36.52, intensity 43; 2θ 47.90, intensity 37; 2θ 50.15, intensity 58; 2θ 50.87, intensity 26; 2θ 62.33, intensity 18; 2θ 64.25, intensity 17

Crystal structure
abc: 7.1463 6.7941 6.6182
angles: 90.00 92.84 90.00
Space group C2/m (No. 12)
Inequivalent atoms, fractional coordinates:
Ac 0.0000 0.0000 0.0000 x2
Mo 0.0100 0.5000 0.2604 x4
Rh 0.0000 0.0000 0.5000 x2
O 0.0107 0.2219 0.7094 x8
O 0.1675 0.5000 0.0145 x4
O 0.1967 0.5000 0.4975 x4

(6)
Ac2MoRuO8: theoretical powder diffractogram (Cu Kα), based on a structure optimized by DFT (PBE+U).
Kinematic intensities with the Lorentz-polarization factor, no thermal factor.

Peak list (10 most intense, 2θ = 10–80°, low angle first)
2θ 20.79, intensity 93; 2θ 23.13, intensity 75; 2θ 25.12, intensity 49; 2θ 27.10, intensity 100; 2θ 30.34, intensity 52; 2θ 31.46, intensity 60; 2θ 32.21, intensity 90; 2θ 34.15, intensity 40; 2θ 40.55, intensity 40; 2θ 47.25, intensity 57

Crystal structure
abc: 5.4442 6.2219 6.2751
angles: 76.46 68.83 76.15
Space group P-1 (No. 2)
Inequivalent atoms, fractional coordinates:
Ac 0.1155 0.1869 0.1563 x2
Mo 0.5000 0.5000 0.5000 x1
Ru 0.5000 0.0000 0.5000 x1
O 0.2605 0.4789 0.8095 x2
O 0.2742 0.8216 0.4382 x2
O 0.2842 0.9703 0.8287 x2
O 0.2954 0.3019 0.4281 x2

(7)
AcMoSO2: theoretical powder diffractogram (Cu Kα), based on a structure optimized by DFT (PBE+U).
Kinematic intensities with the Lorentz-polarization factor, no thermal factor.

Peak list (10 most intense, 2θ = 10–80°, low angle first)
2θ 16.61, intensity 45; 2θ 26.79, intensity 100; 2θ 29.68, intensity 57; 2θ 34.20, intensity 27; 2θ 39.87, intensity 51; 2θ 42.47, intensity 31; 2θ 45.42, intensity 14; 2θ 45.90, intensity 14; 2θ 50.93, intensity 36; 2θ 59.66, intensity 31

Crystal structure
abc: 4.2567 4.2567 5.3382
angles: 90.00 90.00 90.00
Space group P4mm (No. 99)
Inequivalent atoms, fractional coordinates:
Ac 0.0000 0.0000 0.0000 x1
Mo 0.5000 0.5000 0.3309 x1
S 0.5000 0.5000 0.8027 x1
O 0.0000 0.5000 0.2623 x2

(8)
AcVMo2O8: theoretical powder diffractogram (Cu Kα), based on a structure optimized by DFT (PBE+U).
Kinematic intensities with the Lorentz-polarization factor, no thermal factor.

Peak list (10 most intense, 2θ = 10–80°, low angle first)
2θ 19.66, intensity 88; 2θ 27.33, intensity 80; 2θ 31.09, intensity 55; 2θ 33.30, intensity 100; 2θ 43.60, intensity 31; 2θ 44.94, intensity 55; 2θ 46.20, intensity 27; 2θ 53.86, intensity 29; 2θ 55.95, intensity 26; 2θ 59.52, intensity 26

Crystal structure
abc: 5.3805 5.3805 18.2870
angles: 90.00 90.00 120.00
Space group R-3 (No. 148, hexagonal axes)
Inequivalent atoms, fractional coordinates:
Ac 0.0000 0.0000 0.0000 x3
V 0.0000 0.0000 0.5000 x3
Mo 0.0000 0.0000 0.1993 x6
O 0.0000 0.0000 0.3007 x6
O 0.0279 0.6223 0.7843 x18

Which formula does entry 3 have?
RbAcMo2O7

What is the formula in the fourth record?
Ac2ReMoO8